1.
Computed XRD peak list of P3N5 for λ = 1.5418 Å (Cu Kα), from a PBE-relaxed structure.
Intensities are scaled so that the largest is 100.

Principal peaks in the range 10 to 90 degrees two-theta, by angle:
| 2theta | d/Å | I/Imax |
| --- | --- | --- |
| 20.92 | 4.246 | 30 |
| 28.56 | 3.125 | 100 |
| 40.09 | 2.249 | 13 |
| 42.17 | 2.143 | 28 |
| 49.23 | 1.851 | 9 |
| 58.79 | 1.571 | 12 |
| 65.30 | 1.429 | 17 |
| 79.02 | 1.212 | 8 |

Structural model:
```
P3N5
1.0
-1.315 6.529 2.245
1.315 -6.529 2.245
1.315 6.529 -2.245
P N
3 5
direct
0.000 0.000 0.000
0.156 0.839 0.317
0.522 0.839 0.683
0.116 0.220 0.896
0.324 0.220 0.104
0.336 0.562 0.774
0.789 0.562 0.226
0.804 0.304 0.500
```

2.
Computed XRD peak list of P4N7 for λ = 1.5418 Å (Cu Kα), from a PBE-relaxed structure.
Intensities are scaled so that the largest is 100.

Principal peaks in the range 10 to 90 degrees two-theta, by angle:
| 2theta | d/Å | I/Imax |
| --- | --- | --- |
| 18.46 | 4.806 | 54 |
| 27.99 | 3.187 | 99 |
| 31.98 | 2.798 | 30 |
| 32.23 | 2.777 | 90 |
| 32.46 | 2.758 | 100 |
| 35.89 | 2.502 | 27 |
| 48.62 | 1.873 | 21 |
| 64.46 | 1.446 | 32 |

Structural model:
```
P4N7
1.0
3.430 -3.659 0.000
3.430 3.659 0.000
-3.335 0.000 8.392
P N
8 14
direct
0.008 0.525 0.202
0.084 0.245 0.476
0.245 0.084 0.976
0.475 0.992 0.298
0.525 0.008 0.702
0.755 0.916 0.024
0.916 0.755 0.524
0.992 0.475 0.798
0.010 0.193 0.101
0.069 0.511 0.631
0.193 0.010 0.601
0.225 0.348 0.904
0.314 0.686 0.250
0.348 0.225 0.404
0.489 0.931 0.869
0.511 0.069 0.131
0.652 0.775 0.596
0.686 0.314 0.750
0.775 0.652 0.096
0.807 0.990 0.399
0.931 0.489 0.369
0.990 0.807 0.899
```

3.
Computed XRD peak list of P4N7 for λ = 1.5418 Å (Cu Kα), from a PBE-relaxed structure.
Intensities are scaled so that the largest is 100.

Principal peaks in the range 10 to 90 degrees two-theta, by angle:
| 2theta | d/Å | I/Imax |
| --- | --- | --- |
| 12.26 | 7.220 | 9 |
| 17.19 | 5.157 | 10 |
| 21.43 | 4.147 | 100 |
| 25.14 | 3.542 | 9 |
| 26.99 | 3.304 | 76 |
| 27.69 | 3.222 | 27 |
| 35.92 | 2.500 | 9 |
| 36.35 | 2.472 | 17 |

Structural model:
```
P4N7
1.0
7.224 0.000 0.000
0.000 4.943 0.000
-0.494 0.000 15.234
P N
16 28
direct
0.018 0.190 0.195
0.018 0.310 0.695
0.266 0.701 0.452
0.266 0.799 0.952
0.312 0.200 0.555
0.312 0.300 0.055
0.452 0.130 0.201
0.452 0.370 0.701
0.548 0.630 0.299
0.548 0.870 0.799
0.688 0.700 0.945
0.688 0.800 0.445
0.734 0.201 0.048
0.734 0.299 0.548
0.982 0.690 0.305
0.982 0.810 0.805
0.016 0.120 0.780
0.016 0.380 0.280
0.108 0.704 0.885
0.108 0.796 0.385
0.238 0.208 0.157
0.238 0.292 0.657
0.243 0.111 0.978
0.243 0.389 0.478
0.297 0.611 0.037
0.297 0.889 0.537
0.473 0.681 0.722
0.473 0.819 0.222
0.474 0.716 0.400
0.474 0.784 0.900
0.526 0.216 0.100
0.526 0.284 0.600
0.527 0.181 0.778
0.527 0.319 0.278
0.703 0.111 0.463
0.703 0.389 0.963
0.757 0.611 0.522
0.757 0.889 0.022
0.762 0.708 0.343
0.762 0.792 0.843
0.892 0.204 0.615
0.892 0.296 0.115
0.984 0.620 0.720
0.984 0.880 0.220
```

4.
Computed XRD peak list of PN2 for λ = 1.5418 Å (Cu Kα), from a PBE-relaxed structure.
Intensities are scaled so that the largest is 100.

Principal peaks in the range 10 to 90 degrees two-theta, by angle:
| 2theta | d/Å | I/Imax |
| --- | --- | --- |
| 22.00 | 4.041 | 100 |
| 35.70 | 2.515 | 28 |
| 37.49 | 2.399 | 4 |
| 43.89 | 2.063 | 7 |
| 56.54 | 1.628 | 11 |
| 62.94 | 1.477 | 6 |
| 66.49 | 1.406 | 6 |
| 77.70 | 1.229 | 4 |

Structural model:
```
PN2
1.0
4.797 0.000 0.000
0.000 4.798 0.000
0.000 0.000 7.496
P N
4 8
direct
0.006 0.239 0.375
0.494 0.761 0.875
0.506 0.261 0.625
0.994 0.739 0.125
0.107 0.975 0.259
0.237 0.643 0.991
0.263 0.357 0.491
0.393 0.025 0.759
0.607 0.525 0.741
0.737 0.857 0.009
0.763 0.143 0.509
0.893 0.475 0.241
```

5.
Computed XRD peak list of P3N5 for λ = 1.5418 Å (Cu Kα), from a PBE-relaxed structure.
Intensities are scaled so that the largest is 100.

Principal peaks in the range 10 to 90 degrees two-theta, by angle:
| 2theta | d/Å | I/Imax |
| --- | --- | --- |
| 19.31 | 4.595 | 61 |
| 24.49 | 3.635 | 100 |
| 24.64 | 3.613 | 73 |
| 32.67 | 2.741 | 13 |
| 36.64 | 2.453 | 16 |
| 37.38 | 2.406 | 12 |
| 39.08 | 2.305 | 15 |
| 44.85 | 2.021 | 12 |

Structural model:
```
P3N5
1.0
4.093 -2.948 0.000
4.093 2.948 0.000
-4.007 0.000 8.327
P N
6 10
direct
0.018 0.982 0.750
0.162 0.570 0.945
0.430 0.838 0.555
0.570 0.162 0.445
0.838 0.430 0.055
0.982 0.018 0.250
0.001 0.289 0.900
0.008 0.729 0.808
0.271 0.992 0.692
0.289 0.001 0.400
0.500 0.500 0.000
0.500 0.500 0.500
0.711 0.999 0.600
0.729 0.008 0.308
0.992 0.271 0.192
0.999 0.711 0.100
```

6.
Computed XRD peak list of RbP4N7 for λ = 1.5418 Å (Cu Kα), from a PBE-relaxed structure.
Intensities are scaled so that the largest is 100.

Principal peaks in the range 10 to 90 degrees two-theta, by angle:
| 2theta | d/Å | I/Imax |
| --- | --- | --- |
| 25.93 | 3.436 | 13 |
| 26.92 | 3.311 | 12 |
| 27.97 | 3.190 | 37 |
| 28.67 | 3.114 | 44 |
| 29.72 | 3.007 | 100 |
| 33.97 | 2.639 | 15 |
| 35.91 | 2.501 | 22 |
| 38.08 | 2.363 | 24 |

Structural model:
```
RbP4N7
1.0
10.006 0.000 0.000
0.000 12.425 0.000
0.000 0.000 4.727
Rb P N
4 16 28
direct
0.146 0.250 0.232
0.354 0.750 0.732
0.646 0.250 0.268
0.854 0.750 0.768
0.089 0.630 0.213
0.089 0.870 0.213
0.157 0.000 0.722
0.157 0.500 0.722
0.343 0.000 0.222
0.343 0.500 0.222
0.411 0.130 0.713
0.411 0.370 0.713
0.589 0.630 0.287
0.589 0.870 0.287
0.657 0.000 0.778
0.657 0.500 0.778
0.843 0.000 0.278
0.843 0.500 0.278
0.911 0.130 0.787
0.911 0.370 0.787
0.060 0.100 0.686
0.060 0.400 0.686
0.117 0.607 0.883
0.117 0.893 0.883
0.127 0.750 0.298
0.200 0.544 0.385
0.200 0.956 0.385
0.300 0.044 0.885
0.300 0.456 0.885
0.373 0.250 0.798
0.383 0.107 0.383
0.383 0.393 0.383
0.440 0.600 0.186
0.440 0.900 0.186
0.560 0.100 0.814
0.560 0.400 0.814
0.617 0.607 0.617
0.617 0.893 0.617
0.627 0.750 0.202
0.700 0.544 0.115
0.700 0.956 0.115
0.800 0.044 0.615
0.800 0.456 0.615
0.873 0.250 0.702
0.883 0.107 0.117
0.883 0.393 0.117
0.940 0.600 0.314
0.940 0.900 0.314
```

7.
Computed XRD peak list of P2SN6 for λ = 1.5418 Å (Cu Kα), from a PBE-relaxed structure.
Intensities are scaled so that the largest is 100.

Principal peaks in the range 10 to 90 degrees two-theta, by angle:
| 2theta | d/Å | I/Imax |
| --- | --- | --- |
| 12.81 | 6.912 | 41 |
| 13.88 | 6.379 | 100 |
| 14.10 | 6.283 | 85 |
| 15.34 | 5.778 | 71 |
| 21.20 | 4.190 | 78 |
| 25.27 | 3.525 | 43 |
| 26.13 | 3.410 | 71 |
| 26.33 | 3.385 | 42 |

Structural model:
```
P2SN6
1.0
12.826 0.000 0.000
0.000 8.516 0.000
-2.416 0.000 11.833
P S N
8 4 24
direct
0.214 0.020 0.317
0.214 0.480 0.817
0.276 0.554 0.593
0.276 0.946 0.093
0.724 0.054 0.907
0.724 0.446 0.407
0.786 0.520 0.183
0.786 0.980 0.683
0.319 0.182 0.360
0.319 0.318 0.860
0.681 0.682 0.140
0.681 0.818 0.640
0.021 0.682 0.406
0.021 0.818 0.906
0.035 0.660 0.319
0.035 0.840 0.819
0.217 0.571 0.695
0.217 0.929 0.195
0.304 0.563 0.478
0.304 0.937 0.978
0.378 0.568 0.239
0.378 0.932 0.739
0.427 0.669 0.277
0.427 0.831 0.777
0.573 0.169 0.223
0.573 0.331 0.723
0.622 0.068 0.261
0.622 0.432 0.761
0.696 0.063 0.022
0.696 0.437 0.522
0.783 0.071 0.805
0.783 0.429 0.305
0.965 0.160 0.181
0.965 0.340 0.681
0.979 0.182 0.094
0.979 0.318 0.594
```